# 1
Diffraction record for Dy4InAuO. The XRD peak list is computed, not measured: it uses a DFT-relaxed cell (PBE, Alexandria) and CuKα.
Neutral-atom scattering factors, no anomalous dispersion.

Crystal structure
```
Dy4InAuO
1.0
3.316 -7.676 0.000
3.316 7.676 0.000
0.000 0.000 6.644
Dy In Au O
8 2 2 2
Cartesian
1.658 3.838 0.000 Dy
1.658 3.838 3.322 Dy
3.316 6.721 4.983 Dy
3.316 1.258 4.983 Dy
1.658 -3.838 0.000 Dy
1.658 -3.838 3.322 Dy
3.316 -1.258 1.661 Dy
3.316 -6.721 1.661 Dy
3.316 1.764 1.661 In
3.316 -1.764 4.983 In
3.316 5.805 1.661 Au
3.316 -5.805 4.983 Au
3.316 3.712 4.983 O
3.316 -3.712 1.661 O
```

Top 10 peaks for 2θ = 10–90°, sorted by position:
two_theta  Rel. int.
26.9  25
29.3  97
34.9  41
35.1  25
35.8  100
38.4  82
52.8  25
52.9  31
63.9  22
67.7  32

---

# 2
Diffraction record for Mg2Ag3Au4. The XRD peak list is computed, not measured: it uses a DFT-relaxed cell (PBE, Alexandria) and CuKα.
Neutral-atom scattering factors, no anomalous dispersion.

Crystal structure
```
Mg2Ag3Au4
1.0
4.165 0.000 0.000
-2.081 4.585 0.000
-0.006 -2.629 8.397
Mg Ag Au
2 3 4
Cartesian
-0.003 0.974 1.859 Mg
2.081 0.982 6.539 Mg
0.000 0.057 4.644 Ag
2.083 0.000 0.000 Ag
2.078 1.899 3.753 Ag
-0.005 -0.811 7.461 Au
-0.002 2.790 5.624 Au
2.080 -0.834 2.773 Au
2.083 2.767 0.936 Au
```

Top 10 peaks for 2θ = 10–90°, sorted by position:
two_theta  Rel. int.
19.9  22
24.6  20
27.2  23
37.5  100
37.6  99
43.3  34
43.5  34
44.3  31
63.0  22
63.8  31

---

# 3
Diffraction record for CsTbAgI5. The XRD peak list is computed, not measured: it uses a DFT-relaxed cell (PBE, Alexandria) and CuKα.
Neutral-atom scattering factors, no anomalous dispersion.

Crystal structure
```
CsTbAgI5
1.0
5.146 -6.926 0.000
5.146 6.926 0.000
-4.266 0.000 10.800
Cs Tb Ag I
2 2 2 10
Cartesian
1.947 4.861 8.100 Cs
4.080 -4.861 2.700 Cs
5.146 0.000 0.000 Tb
3.013 0.000 5.400 Tb
4.080 4.294 2.700 Ag
1.947 -4.294 8.100 Ag
-1.942 0.969 10.134 I
2.327 2.792 4.374 I
0.191 -0.969 4.734 I
5.832 2.792 1.026 I
1.947 0.965 8.100 I
4.080 -0.965 2.700 I
0.195 -2.792 9.774 I
5.835 0.969 6.066 I
3.699 -2.792 6.426 I
7.968 -0.969 0.666 I
```

Top 10 peaks for 2θ = 10–90°, sorted by position:
two_theta  Rel. int.
11.2  38
16.9  84
18.5  46
23.9  40
24.1  100
26.8  37
32.6  37
34.2  42
36.0  44
40.1  44

---

# 4
Diffraction record for SrBiAu3. The XRD peak list is computed, not measured: it uses a DFT-relaxed cell (PBE, Alexandria) and CuKα.
Neutral-atom scattering factors, no anomalous dispersion.

Crystal structure
```
SrBiAu3
1.0
6.422 0.000 0.000
0.000 7.447 0.000
-0.297 0.000 10.974
Sr Bi Au
4 4 12
Cartesian
1.365 0.283 2.805 Sr
1.216 3.441 8.292 Sr
4.908 4.006 2.682 Sr
4.760 7.164 8.169 Sr
2.965 5.499 5.481 Bi
2.817 5.671 10.968 Bi
3.308 1.775 0.006 Bi
3.160 1.948 5.493 Bi
-0.056 5.089 5.597 Au
0.092 6.081 0.111 Au
1.066 0.097 6.406 Au
1.214 3.626 0.919 Au
1.554 0.084 9.088 Au
1.703 3.640 3.601 Au
4.422 3.807 7.372 Au
4.571 7.363 1.885 Au
4.910 3.821 10.055 Au
5.059 7.350 4.568 Au
6.032 1.366 10.863 Au
6.181 2.358 5.376 Au
```

Top 10 peaks for 2θ = 10–90°, sorted by position:
two_theta  Rel. int.
16.2  62
19.8  31
29.0  64
30.9  37
31.9  64
37.0  100
39.7  54
40.9  48
43.0  38
44.1  31